Entry 1:
HoMg6Zn6: theoretical powder XRD pattern (Cu Kα (λ = 1.5418 Å)), based on a crystal structure in Alexandria, relaxed with PBE.
Neutral-atom scattering factors, no anomalous dispersion.

Cell and atoms:
```
HoMg6Zn6
1.0
-2.734 4.682 4.751
2.734 -4.682 4.751
2.734 4.682 -4.751
Ho Mg Zn
1 6 6
Direct
0.000 0.000 0.000 Ho
0.195 0.500 0.695 Mg
0.346 0.000 0.346 Mg
0.346 0.346 0.000 Mg
0.654 0.000 0.654 Mg
0.654 0.654 0.000 Mg
0.805 0.500 0.305 Mg
0.000 0.000 0.500 Zn
0.000 0.500 0.000 Zn
0.224 0.724 0.500 Zn
0.500 0.000 0.000 Zn
0.500 0.500 0.500 Zn
0.776 0.276 0.500 Zn
```

Principal peaks in the range 2θ from 10° to 90°, in order of rising 2θ:
Position (°2θ)  Rel. int.
13.28  50
18.70  31
26.62  53
26.75  44
37.92  69
38.09  100
38.23  53
38.46  35
42.77  30
54.82  36

---

Entry 2:
Ho6Mg2Zn: theoretical powder XRD pattern (Cu Kα (λ = 1.5418 Å)), based on a crystal structure in Alexandria, relaxed with PBE.
Neutral-atom scattering factors, no anomalous dispersion.

Cell and atoms:
```
Ho6Mg2Zn
1.0
6.305 0.000 0.000
0.000 9.297 0.000
-4.585 0.000 8.743
Ho Mg Zn
12 4 2
Direct
0.071 0.172 0.470 Ho
0.071 0.328 0.970 Ho
0.358 0.687 0.446 Ho
0.358 0.813 0.946 Ho
0.428 0.034 0.301 Ho
0.428 0.466 0.801 Ho
0.572 0.534 0.199 Ho
0.572 0.966 0.699 Ho
0.642 0.187 0.054 Ho
0.642 0.313 0.554 Ho
0.929 0.672 0.030 Ho
0.929 0.828 0.530 Ho
0.117 0.094 0.774 Mg
0.117 0.406 0.274 Mg
0.883 0.594 0.726 Mg
0.883 0.906 0.226 Mg
0.000 0.000 0.000 Zn
0.000 0.500 0.500 Zn
```

Principal peaks in the range 2θ from 10° to 90°, in order of rising 2θ:
Position (°2θ)  Rel. int.
20.31  27
28.02  68
28.84  51
29.69  42
30.46  67
31.30  43
32.31  100
33.51  37
33.95  34
41.51  33

---

Entry 3:
HoMn2: theoretical powder XRD pattern (Cu Kα (λ = 1.5418 Å)), based on a crystal structure in Alexandria, relaxed with PBE.
Neutral-atom scattering factors, no anomalous dispersion.

Cell and atoms:
```
HoMn2
1.0
5.363 0.000 0.000
-2.682 4.645 0.000
0.000 0.000 7.999
Ho Mn
4 8
Direct
0.333 0.667 0.060 Ho
0.333 0.667 0.440 Ho
0.667 0.333 0.560 Ho
0.667 0.333 0.940 Ho
0.000 0.000 0.000 Mn
0.000 0.000 0.500 Mn
0.166 0.332 0.750 Mn
0.166 0.834 0.750 Mn
0.332 0.166 0.250 Mn
0.668 0.834 0.750 Mn
0.834 0.166 0.250 Mn
0.834 0.668 0.250 Mn
```

Principal peaks in the range 2θ from 10° to 90°, in order of rising 2θ:
Position (°2θ)  Rel. int.
22.18  14
33.41  49
38.77  11
38.95  55
40.48  100
63.44  26
64.54  16
70.19  15
71.63  16
83.31  12

---

Entry 4:
HoMnMo: theoretical powder XRD pattern (Cu Kα (λ = 1.5418 Å)), based on a crystal structure in Alexandria, relaxed with PBE.
Neutral-atom scattering factors, no anomalous dispersion.

Cell and atoms:
```
HoMnMo
1.0
6.545 0.000 0.000
0.000 6.545 0.000
0.000 0.000 5.825
Ho Mn Mo
4 4 4
Direct
0.244 0.244 0.000 Ho
0.256 0.744 0.250 Ho
0.744 0.256 0.750 Ho
0.756 0.756 0.500 Ho
0.052 0.052 0.500 Mn
0.448 0.552 0.750 Mn
0.552 0.448 0.250 Mn
0.948 0.948 0.000 Mn
0.194 0.806 0.750 Mo
0.306 0.306 0.500 Mo
0.694 0.694 0.000 Mo
0.806 0.194 0.250 Mo
```

Principal peaks in the range 2θ from 10° to 90°, in order of rising 2θ:
Position (°2θ)  Rel. int.
19.18  16
27.25  61
34.29  26
36.45  100
38.92  41
44.34  11
46.57  12
54.38  36
68.87  12
77.43  11

---

Entry 5:
HoPaMnN4: theoretical powder XRD pattern (Cu Kα (λ = 1.5418 Å)), based on a crystal structure in Alexandria, relaxed with PBE.
Neutral-atom scattering factors, no anomalous dispersion.

Cell and atoms:
```
HoPaMnN4
1.0
-1.840 1.840 6.033
1.840 -1.840 6.033
1.840 1.840 -6.033
Ho Pa Mn N
1 1 1 4
Direct
0.000 0.000 0.000 Ho
0.715 0.715 0.000 Pa
0.356 0.356 0.000 Mn
0.185 0.185 0.000 N
0.353 0.853 0.500 N
0.537 0.537 0.000 N
0.853 0.353 0.500 N
```

Principal peaks in the range 2θ from 10° to 90°, in order of rising 2θ:
Position (°2θ)  Rel. int.
25.30  44
29.61  18
32.99  100
34.47  62
46.06  31
49.54  27
57.96  12
59.19  15
60.81  36
80.73  13

---

Entry 6:
Tb2HoMnN4: theoretical powder XRD pattern (Cu Kα (λ = 1.5418 Å)), based on a crystal structure in Alexandria, relaxed with PBE.
Neutral-atom scattering factors, no anomalous dispersion.

Cell and atoms:
```
Tb2HoMnN4
1.0
1.679 -5.690 0.000
1.679 5.690 0.000
0.000 0.000 11.574
Tb Ho Mn N
4 2 2 8
Direct
0.132 0.868 0.543 Tb
0.132 0.868 0.957 Tb
0.868 0.132 0.043 Tb
0.868 0.132 0.457 Tb
0.378 0.622 0.750 Ho
0.622 0.378 0.250 Ho
0.350 0.650 0.250 Mn
0.650 0.350 0.750 Mn
0.074 0.926 0.750 N
0.231 0.769 0.135 N
0.231 0.769 0.365 N
0.500 0.500 0.000 N
0.500 0.500 0.500 N
0.769 0.231 0.635 N
0.769 0.231 0.865 N
0.926 0.074 0.250 N
```

Principal peaks in the range 2θ from 10° to 90°, in order of rising 2θ:
Position (°2θ)  Rel. int.
27.94  78
30.90  39
31.44  64
31.80  100
36.57  26
39.06  93
44.67  28
48.43  35
50.98  22
53.85  36

---

Which formula does entry 1 have?
HoMg6Zn6